Tb16B4Br23: calculated powder X-ray diffraction pattern (Cu Kα), based on a structure optimized by DFT (PBE).
Peak positions follow from Bragg's law for the DFT cell and can differ from measured ones.

Top 10 peaks for 2θ = 10–80°, most intense first:
| 2θ/deg | I/Imax | hkl |
| --- | --- | --- |
| 31.2 | 100.0 | 1 3 -3 |
| 31.0 | 48.4 | 6 0 0 |
| 44.9 | 31.6 | 5 3 3 |
| 44.2 | 30.9 | 7 3 -3 |
| 10.8 | 20.5 | 1 1 -1 |
| 11.1 | 19.3 | 2 0 -1 |
| 44.7 | 16.5 | 2 0 -6 |
| 44.6 | 15.4 | 0 6 0 |
| 55.4 | 13.7 | 6 6 0 |
| 12.4 | 12.9 | 1 1 1 |

Atomic structure:
```
data_Tb16B4Br23
_chemical_formula_sum 'Tb32 B8 Br46'
_space_group_name_H-M_alt 'C 1 2/m 1'
_space_group_IT_number 12
_cell_length_a 17.843
_cell_length_b 12.178
_cell_length_c 12.164
_cell_angle_alpha 90.00
_cell_angle_beta 104.36
_cell_angle_gamma 90.00
loop_
_space_group_symop_operation_xyz
'x,y,z'
'-x,-y,-z'
'-x,y,-z'
'x,-y,z'
'x+1/2,y+1/2,z'
'-x+1/2,-y+1/2,-z'
'-x+1/2,y+1/2,-z'
'x+1/2,-y+1/2,z'
loop_
_atom_site_label
_atom_site_type_symbol
_atom_site_fract_x
_atom_site_fract_y
_atom_site_fract_z
Tb1 Tb 0.002 0.194 0.350
Tb2 Tb 0.006 0.500 0.650
Tb3 Tb 0.148 0.351 0.563
Tb4 Tb 0.162 0.353 0.871
Tb5 Tb 0.189 0.000 0.227
B1 B 0.000 0.331 0.500
B2 B 0.167 0.500 0.727
Br1 Br 0.000 0.000 0.500
Br2 Br 0.003 0.335 0.165
Br3 Br 0.014 0.000 0.193
Br4 Br 0.163 0.165 0.723
Br5 Br 0.165 0.500 0.050
Br6 Br 0.167 0.500 0.387
Br7 Br 0.171 0.169 0.058
Br8 Br 0.172 0.169 0.394
```